Theoretical powder X-ray diffraction pattern of Li2DyHfS4 for Cu Kα (weighted mean of Kα1 and Kα2), from the GGA-PBE geometry in Alexandria.
No peak broadening, texture or thermal motion is included.

Structure:
```
Li2DyHfS4
1.0
6.5084 0.0000 0.0000
0.0000 3.7262 0.0000
-2.1445 0.0000 6.1891
Li Dy Hf S
2 1 1 4
Direct
0.0000 0.0000 0.0000
0.5000 0.5000 0.0000
0.0000 0.5000 0.5000
0.5000 0.0000 0.5000
0.2643 0.5000 0.2535
0.2660 0.0000 0.7533
0.7340 0.0000 0.2467
0.7357 0.5000 0.7465
```

Most intense lines, 15 to 90 degrees two-theta, in order of falling intensity:
| Position (°2θ) | I (rel.) |
| --- | --- |
| 33.7 | 100.0 |
| 28.0 | 50.3 |
| 27.9 | 25.2 |
| 36.9 | 24.2 |
| 48.3 | 23.7 |
| 48.6 | 22.9 |
| 44.1 | 22.5 |
| 29.3 | 18.6 |
| 36.6 | 12.5 |
| 48.1 | 11.9 |

***

Theoretical powder X-ray diffraction pattern of Na5HoO4 for Cu Kα (weighted mean of Kα1 and Kα2), from the GGA-PBE geometry in Alexandria.
No peak broadening, texture or thermal motion is included.

Structure:
```
Na5HoO4
1.0
-1.7646 3.1905 6.5413
1.7646 -3.1905 6.5413
1.7646 3.1905 -6.5413
Na Ho O
5 1 4
Direct
0.0000 0.0000 0.0000
0.0912 0.3269 0.7643
0.4374 0.6731 0.7643
0.5626 0.3269 0.2357
0.9088 0.6731 0.2357
0.5000 0.0000 0.5000
0.2636 0.5000 0.7636
0.3163 0.8163 0.5000
0.6837 0.1837 0.5000
0.7364 0.5000 0.2364
```

Most intense lines, 15 to 90 degrees two-theta, in order of falling intensity:
| Position (°2θ) | I (rel.) |
| --- | --- |
| 15.5 | 100.0 |
| 38.7 | 62.2 |
| 52.1 | 35.5 |
| 32.6 | 30.8 |
| 31.2 | 24.9 |
| 28.9 | 22.8 |
| 41.4 | 19.1 |
| 32.0 | 18.4 |
| 27.3 | 17.4 |
| 26.2 | 16.3 |

***

Theoretical powder X-ray diffraction pattern of Tm5AlAg4 for Cu Kα (weighted mean of Kα1 and Kα2), from the GGA-PBE geometry in Alexandria.
No peak broadening, texture or thermal motion is included.

Structure:
```
Tm5AlAg4
1.0
3.5555 0.0000 0.0000
0.0000 3.5555 0.0000
0.0000 0.0000 18.1705
Tm Al Ag
5 1 4
Direct
0.0000 0.0000 0.0000
0.0000 0.0000 0.2008
0.0000 0.0000 0.4005
0.0000 0.0000 0.5995
0.0000 0.0000 0.7992
0.5000 0.5000 0.5000
0.5000 0.5000 0.0994
0.5000 0.5000 0.3025
0.5000 0.5000 0.6975
0.5000 0.5000 0.9006
```

Most intense lines, 15 to 90 degrees two-theta, in order of falling intensity:
| Position (°2θ) | I (rel.) |
| --- | --- |
| 35.3 | 100.0 |
| 35.7 | 48.6 |
| 63.9 | 34.9 |
| 63.1 | 18.0 |
| 51.4 | 17.0 |
| 74.7 | 11.0 |
| 50.2 | 9.1 |
| 25.0 | 8.9 |
| 84.5 | 8.1 |
| 86.3 | 7.8 |

***

Theoretical powder X-ray diffraction pattern of H2Pd3Au3 for Cu Kα (weighted mean of Kα1 and Kα2), from the GGA-PBE geometry in Alexandria.
No peak broadening, texture or thermal motion is included.

Structure:
```
H2Pd3Au3
1.0
7.3428 -1.5140 0.0000
7.3428 1.5140 0.0000
-0.8607 0.0000 4.8195
H Pd Au
2 3 3
Direct
0.2144 0.2144 0.3645
0.7856 0.7856 0.6355
0.3384 0.3384 0.5215
0.5000 0.5000 0.0000
0.6616 0.6616 0.4785
0.0000 0.0000 0.5000
0.1608 0.1608 0.9688
0.8392 0.8392 0.0312
```

Most intense lines, 15 to 90 degrees two-theta, in order of falling intensity:
| Position (°2θ) | I (rel.) |
| --- | --- |
| 37.3 | 100.0 |
| 38.2 | 99.2 |
| 41.4 | 74.8 |
| 65.6 | 38.2 |
| 73.9 | 27.6 |
| 72.3 | 26.2 |
| 48.5 | 24.7 |
| 61.2 | 12.6 |
| 83.6 | 12.2 |
| 58.8 | 11.4 |

***

Theoretical powder X-ray diffraction pattern of KTl2Hg7Pd2 for Cu Kα (weighted mean of Kα1 and Kα2), from the GGA-PBE geometry in Alexandria.
No peak broadening, texture or thermal motion is included.

Structure:
```
KTl2Hg7Pd2
1.0
3.4866 -4.0670 0.0000
3.4866 4.0670 0.0000
-2.4970 0.0000 12.4077
K Tl Hg Pd
1 2 7 2
Direct
0.0000 0.0000 0.0000
0.0685 0.0685 0.3615
0.9315 0.9315 0.6385
0.1674 0.5746 0.2044
0.3756 0.3756 0.5788
0.4254 0.8326 0.7956
0.5000 0.5000 0.0000
0.5746 0.1674 0.2044
0.6244 0.6244 0.4212
0.8326 0.4254 0.7956
0.3097 0.3097 0.7891
0.6903 0.6903 0.2109
```

Most intense lines, 15 to 90 degrees two-theta, in order of falling intensity:
| Position (°2θ) | I (rel.) |
| --- | --- |
| 36.2 | 100.0 |
| 30.5 | 68.9 |
| 33.9 | 66.1 |
| 26.2 | 47.5 |
| 32.3 | 45.3 |
| 30.8 | 45.1 |
| 35.8 | 41.8 |
| 44.6 | 36.6 |
| 41.7 | 28.4 |
| 23.0 | 28.1 |

***

Theoretical powder X-ray diffraction pattern of Co2Br for Cu Kα (weighted mean of Kα1 and Kα2), from the GGA-PBE geometry in Alexandria.
No peak broadening, texture or thermal motion is included.

Structure:
```
Co2Br
1.0
8.8840 -1.8217 0.0000
8.8840 1.8217 0.0000
-0.0331 0.0000 3.6139
Co Br
4 2
Direct
0.0436 0.0436 0.2520
0.4543 0.4543 0.2479
0.5457 0.5457 0.7521
0.9564 0.9564 0.7480
0.3536 0.3536 0.7436
0.6464 0.6464 0.2564
```

Most intense lines, 15 to 90 degrees two-theta, in order of falling intensity:
| Position (°2θ) | I (rel.) |
| --- | --- |
| 43.4 | 100.0 |
| 43.6 | 87.2 |
| 28.8 | 40.8 |
| 51.4 | 29.5 |
| 50.1 | 29.0 |
| 50.5 | 28.2 |
| 26.5 | 25.6 |
| 26.7 | 24.0 |
| 24.9 | 23.8 |
| 74.6 | 22.5 |

***

Theoretical powder X-ray diffraction pattern of Ba3UMnS6 for Cu Kα (weighted mean of Kα1 and Kα2), from the GGA-PBE geometry in Alexandria.
No peak broadening, texture or thermal motion is included.

Structure:
```
Ba3UMnS6
1.0
6.0820 3.5115 4.5622
-6.0820 3.5115 4.5622
0.0000 -7.0229 4.5622
Ba U Mn S
6 2 2 12
Direct
0.1286 0.7500 0.3714
0.2500 0.6286 0.8714
0.3714 0.1286 0.7500
0.6286 0.8714 0.2500
0.7500 0.3714 0.1286
0.8714 0.2500 0.6286
0.2500 0.2500 0.2500
0.7500 0.7500 0.7500
0.0000 0.0000 0.0000
0.5000 0.5000 0.5000
0.0367 0.9079 0.7050
0.0921 0.2950 0.9633
0.2050 0.4079 0.5367
0.2950 0.9633 0.0921
0.4079 0.5367 0.2050
0.4633 0.7950 0.5921
0.5367 0.2050 0.4079
0.5921 0.4633 0.7950
0.7050 0.0367 0.9079
0.7950 0.5921 0.4633
0.9079 0.7050 0.0367
0.9633 0.0921 0.2950
```

Most intense lines, 15 to 90 degrees two-theta, in order of falling intensity:
| Position (°2θ) | I (rel.) |
| --- | --- |
| 25.4 | 100.0 |
| 24.4 | 60.0 |
| 46.0 | 50.1 |
| 39.5 | 50.1 |
| 35.5 | 45.5 |
| 21.3 | 44.4 |
| 34.6 | 41.9 |
| 31.2 | 39.7 |
| 31.3 | 37.1 |
| 47.5 | 29.7 |

***

Theoretical powder X-ray diffraction pattern of Tb3AgTe4 for Cu Kα (weighted mean of Kα1 and Kα2), from the GGA-PBE geometry in Alexandria.
No peak broadening, texture or thermal motion is included.

Structure:
```
Tb3AgTe4
1.0
2.1866 1.2624 14.2789
-2.1866 1.2624 14.2789
0.0000 -2.5249 14.2789
Tb Ag Te
3 1 4
Direct
0.0000 0.0000 0.0000
0.2497 0.2497 0.2497
0.7503 0.7503 0.7503
0.5000 0.5000 0.5000
0.1257 0.1257 0.1257
0.3750 0.3750 0.3750
0.6250 0.6250 0.6250
0.8743 0.8743 0.8743
```

Most intense lines, 15 to 90 degrees two-theta, in order of falling intensity:
| Position (°2θ) | I (rel.) |
| --- | --- |
| 28.9 | 100.0 |
| 41.3 | 75.8 |
| 67.8 | 34.4 |
| 51.2 | 27.0 |
| 75.3 | 25.4 |
| 59.8 | 12.6 |
| 89.7 | 8.5 |
| 24.9 | 1.3 |
| 48.8 | 0.7 |

***

Theoretical powder X-ray diffraction pattern of Ce3Ir for Cu Kα (weighted mean of Kα1 and Kα2), from the GGA-PBE geometry in Alexandria.
No peak broadening, texture or thermal motion is included.

Structure:
```
Ce3Ir
1.0
11.7737 0.0000 0.0000
0.0000 11.7737 0.0000
0.0000 0.0000 5.7609
Ce Ir
24 8
Direct
0.0414 0.5865 0.2251
0.0865 0.9586 0.7251
0.1133 0.1919 0.4973
0.1202 0.6657 0.8006
0.1657 0.8798 0.3006
0.1919 0.3867 0.0027
0.3081 0.1133 0.0027
0.3343 0.6202 0.3006
0.3798 0.8343 0.8006
0.3867 0.3081 0.4973
0.4135 0.5414 0.7251
0.4586 0.9135 0.2251
0.5414 0.0865 0.7749
0.5865 0.4586 0.2749
0.6133 0.6919 0.5027
0.6202 0.1657 0.1994
0.6657 0.3798 0.6994
0.6919 0.8867 0.9973
0.8081 0.6133 0.9973
0.8343 0.1202 0.6994
0.8798 0.3343 0.1994
0.8867 0.8081 0.5027
0.9135 0.0414 0.2749
0.9586 0.4135 0.7749
0.0662 0.1734 0.9973
0.1734 0.4338 0.5027
0.3266 0.0662 0.5027
0.4338 0.3266 0.9973
0.5662 0.6734 0.0027
0.6734 0.9338 0.4973
0.8266 0.5662 0.4973
0.9338 0.8266 0.0027
```

Most intense lines, 15 to 90 degrees two-theta, in order of falling intensity:
| Position (°2θ) | I (rel.) |
| --- | --- |
| 34.1 | 100.0 |
| 39.6 | 97.9 |
| 32.9 | 60.1 |
| 31.5 | 50.0 |
| 35.1 | 44.3 |
| 55.6 | 29.7 |
| 30.4 | 29.4 |
| 39.0 | 22.7 |
| 35.9 | 19.8 |
| 46.7 | 18.3 |

***

Theoretical powder X-ray diffraction pattern of DyPa3 for Cu Kα (weighted mean of Kα1 and Kα2), from the GGA-PBE geometry in Alexandria.
No peak broadening, texture or thermal motion is included.

Structure:
```
DyPa3
1.0
3.1924 0.0000 0.0000
0.0000 5.5801 0.0000
0.0000 0.0000 5.7951
Dy Pa
1 3
Direct
0.0000 0.0000 0.0000
0.0000 0.5000 0.7201
0.5000 0.0000 0.5030
0.5000 0.5000 0.2310
```

Most intense lines, 15 to 90 degrees two-theta, in order of falling intensity:
| Position (°2θ) | I (rel.) |
| --- | --- |
| 32.0 | 100.0 |
| 35.9 | 94.0 |
| 34.9 | 84.4 |
| 46.0 | 34.5 |
| 69.3 | 24.0 |
| 59.7 | 22.3 |
| 65.7 | 21.1 |
| 59.0 | 19.2 |
| 55.6 | 17.3 |
| 87.2 | 13.5 |

***

Theoretical powder X-ray diffraction pattern of SmClO2 for Cu Kα (weighted mean of Kα1 and Kα2), from the GGA-PBE geometry in Alexandria.
No peak broadening, texture or thermal motion is included.

Structure:
```
SmClO2
1.0
5.0286 0.0000 0.0000
0.0000 4.2918 0.0000
-1.9969 0.0000 6.1735
Sm Cl O
2 2 4
Direct
0.1820 0.2500 0.3344
0.8180 0.7500 0.6656
0.2138 0.2500 0.9122
0.7862 0.7500 0.0878
0.2429 0.7500 0.5469
0.3842 0.7500 0.3747
0.6158 0.2500 0.6253
0.7571 0.2500 0.4531
```

Most intense lines, 15 to 90 degrees two-theta, in order of falling intensity:
| Position (°2θ) | I (rel.) |
| --- | --- |
| 27.9 | 100.0 |
| 35.8 | 77.3 |
| 29.2 | 69.6 |
| 25.3 | 65.1 |
| 19.7 | 42.7 |
| 45.4 | 38.9 |
| 42.1 | 37.8 |
| 26.9 | 37.0 |
| 43.3 | 30.1 |
| 52.1 | 26.8 |

***

Theoretical powder X-ray diffraction pattern of DyTm4Rh4 for Cu Kα (weighted mean of Kα1 and Kα2), from the GGA-PBE geometry in Alexandria.
No peak broadening, texture or thermal motion is included.

Structure:
```
DyTm4Rh4
1.0
8.7247 0.0000 0.0000
0.0000 8.7247 0.0000
0.0000 0.0000 5.5524
Dy Tm Rh
2 8 8
Direct
0.2500 0.2500 0.2500
0.7500 0.7500 0.7500
0.0719 0.6612 0.1576
0.1612 0.9281 0.6576
0.3388 0.5719 0.6576
0.4281 0.8388 0.1576
0.5719 0.1612 0.8424
0.6612 0.4281 0.3424
0.8388 0.0719 0.3424
0.9281 0.3388 0.8424
0.0287 0.6249 0.6562
0.1249 0.9713 0.1562
0.3751 0.5287 0.1562
0.4713 0.8751 0.6562
0.5287 0.1249 0.3438
0.6249 0.4713 0.8438
0.8751 0.0287 0.8438
0.9713 0.3751 0.3438
```

Most intense lines, 15 to 90 degrees two-theta, in order of falling intensity:
| Position (°2θ) | I (rel.) |
| --- | --- |
| 32.5 | 100.0 |
| 33.9 | 42.0 |
| 46.6 | 32.7 |
| 27.9 | 32.1 |
| 50.0 | 23.0 |
| 39.9 | 20.5 |
| 45.2 | 19.0 |
| 46.4 | 17.0 |
| 54.5 | 15.1 |
| 40.7 | 14.6 |

***

Theoretical powder X-ray diffraction pattern of TiFeTcMo for Cu Kα (weighted mean of Kα1 and Kα2), from the GGA-PBE geometry in Alexandria.
No peak broadening, texture or thermal motion is included.

Structure:
```
TiFeTcMo
1.0
0.0000 3.0556 3.0556
3.0556 0.0000 3.0556
3.0556 3.0556 0.0000
Ti Fe Tc Mo
1 1 1 1
Direct
0.0000 0.0000 0.0000
0.2500 0.2500 0.2500
0.7500 0.7500 0.7500
0.5000 0.5000 0.5000
```

Most intense lines, 15 to 90 degrees two-theta, in order of falling intensity:
| Position (°2θ) | I (rel.) |
| --- | --- |
| 41.8 | 100.0 |
| 76.3 | 31.2 |
| 60.6 | 15.8 |
| 25.2 | 11.8 |
| 49.5 | 5.9 |
| 66.7 | 2.5 |
| 81.9 | 2.0 |